Diffraction record for ThGaTc. The powder diffraction line list is computed, not measured: it uses DFT lattice parameters and positions (PBE) and Cu Kα.
Kinematic intensities with the Lorentz-polarization factor, no thermal factor.

Cell and atoms:
```
data_ThGaTc
_symmetry_space_group_name_H-M 'P n m a'
_symmetry_Int_Tables_number 62
_symmetry_space_group_name_Hall '-P 2ac 2n'
_cell_length_a 7.321
_cell_length_b 4.803
_cell_length_c 7.116
_cell_angle_alpha 90.00
_cell_angle_beta 90.00
_cell_angle_gamma 90.00
loop_
_atom_site_label
_atom_site_type_symbol
_atom_site_fract_x
_atom_site_fract_y
_atom_site_fract_z
Th1 Th 0.033 0.250 0.201
Ga1 Ga 0.199 0.250 0.620
Tc1 Tc 0.155 0.750 0.467
```

Main lines, low angle first (10° ≤ 2θ ≤ 90°):
22.3 deg, I = 44; 33.2 deg, I = 100; 33.7 deg, I = 48; 35.2 deg, I = 31; 37.4 deg, I = 49; 39.0 deg, I = 21; 40.0 deg, I = 47; 42.5 deg, I = 27; 52.3 deg, I = 20; 55.2 deg, I = 24